SmSnBi2: computed powder diffraction line list (copper Kα), based on DFT lattice parameters and positions (GGA-PBE).
Lines closer than 0.1° are merged.

Principal peaks in the range 2θ from 10° to 80°, in order of rising 2θ:
Position (°2θ)  d/Å  I_rel
30.71  2.912  100
33.16  2.701  92
33.38  2.684  23
34.22  2.620  86
42.26  2.139  17
54.08  1.696  22
55.46  1.657  26
57.58  1.601  25
61.49  1.508  15
62.09  1.495  28

```
SmSnBi2
1.0
-3.4841 4.2775 3.9747
3.4841 -4.2775 3.9747
3.4841 4.2775 -3.9747
Sm Sn Bi
2 2 4
Cartesian
0.0000 2.1388 0.4076 Sm
3.4841 2.1388 3.5671 Sm
3.4841 2.1388 0.2208 Sn
0.0000 2.1388 3.7540 Sn
1.7420 3.9764 -1.9874 Bi
1.7420 -0.3011 1.9874 Bi
-1.7420 4.5786 1.9874 Bi
1.7420 4.5786 1.9874 Bi
```